No. 1
Computed PXRD pattern
Compound: Li2MnV3O8
Radiation: Cu Kα (weighted mean of Kα1 and Kα2)
Structure: a DFT-relaxed cell (PBE+U, the Materials Project)

Atomic structure:
```
data_Li2MnV3O8
_cell_length_a 5.964
_cell_length_b 5.970
_cell_length_c 10.297
_cell_angle_alpha 106.49
_cell_angle_beta 90.07
_cell_angle_gamma 119.88
_symmetry_space_group_name_H-M 'P -1'
_symmetry_Int_Tables_number 2
loop_
_symmetry_equiv_pos_as_xyz
'x,y,z'
'-x,-y,-z'
loop_
_atom_site_label
_atom_site_type_symbol
_atom_site_fract_x
_atom_site_fract_y
_atom_site_fract_z
_atom_site_occupancy
Li1 Li 0.062 0.129 0.190 1
Li2 Li 0.432 0.870 0.309 1
Mn1 Mn 0.258 0.500 0.751 1
V1 V 0.000 0.000 0.500 1
V2 V 0.000 0.500 0.000 1
V3 V 0.000 0.500 0.500 1
V4 V 0.500 0.000 0.000 1
V5 V 0.500 0.500 0.000 1
V6 V 0.500 0.500 0.500 1
O1 O 0.082 0.729 0.376 1
O2 O 0.144 0.726 0.876 1
O3 O 0.147 0.273 0.396 1
O4 O 0.154 0.285 0.875 1
O5 O 0.367 0.274 0.623 1
O6 O 0.367 0.714 0.625 1
O7 O 0.374 0.726 0.104 1
O8 O 0.405 0.270 0.122 1
```

Main lines, sorted by position (2θ = 10–90°):
- 2θ = 18.19°, d = 4.876 Å, I = 100, hkl 0 1 0
- 2θ = 18.25°, d = 4.862 Å, I = 35, hkl 1 -1 1
- 2θ = 35.18°, d = 2.551 Å, I = 14, hkl 1 1 1
- 2θ = 35.29°, d = 2.543 Å, I = 37, hkl 1 0 3
- 2θ = 35.41°, d = 2.535 Å, I = 11, hkl 1 -2 3
- 2θ = 42.82°, d = 2.112 Å, I = 52, hkl 2 0 2
- 2θ = 43.00°, d = 2.104 Å, I = 26, hkl 0 2 -4
- 2θ = 62.08°, d = 1.495 Å, I = 15, hkl 0 2 4
- 2θ = 62.24°, d = 1.492 Å, I = 15, hkl 4 -2 0
- 2θ = 62.43°, d = 1.487 Å, I = 15, hkl 2 0 -6

No. 2
Computed PXRD pattern
Compound: LiMnVO4
Radiation: Cu Kα (weighted mean of Kα1 and Kα2)
Structure: a DFT-relaxed cell (PBE+U, the Materials Project)

Atomic structure:
```
data_LiMnVO4
_cell_length_a 10.795
_cell_length_b 6.277
_cell_length_c 4.999
_cell_angle_alpha 90.00
_cell_angle_beta 90.00
_cell_angle_gamma 90.00
_symmetry_space_group_name_H-M 'P n m a'
_symmetry_Int_Tables_number 62
loop_
_symmetry_equiv_pos_as_xyz
'x,y,z'
'-x,-y,-z'
'-x+1/2,-y,z+1/2'
'x+1/2,y,-z+1/2'
'x+1/2,-y+1/2,-z+1/2'
'-x+1/2,y+1/2,z+1/2'
'-x,y+1/2,-z'
'x,-y+1/2,z'
loop_
_atom_site_label
_atom_site_type_symbol
_atom_site_fract_x
_atom_site_fract_y
_atom_site_fract_z
_atom_site_occupancy
Li1 Li 0.000 0.000 0.000 1
Mn1 Mn 0.227 0.250 0.485 1
V1 V 0.091 0.750 0.425 1
O1 O 0.057 0.250 0.712 1
O2 O 0.094 0.750 0.773 1
O3 O 0.165 0.530 0.277 1
```

Main lines, sorted by position (2θ = 10–90°):
- 2θ = 19.57°, d = 4.537 Å, I = 55, hkl 1 0 1
- 2θ = 21.72°, d = 4.093 Å, I = 34, hkl 2 1 0
- 2θ = 24.22°, d = 3.675 Å, I = 44, hkl 1 1 1
- 2θ = 28.44°, d = 3.138 Å, I = 55, hkl 0 2 0
- 2θ = 33.85°, d = 2.648 Å, I = 100, hkl 3 1 1
- 2θ = 34.76°, d = 2.581 Å, I = 29, hkl 1 2 1
- 2θ = 39.71°, d = 2.270 Å, I = 21, hkl 1 1 2
- 2θ = 49.59°, d = 1.838 Å, I = 22, hkl 2 2 2
- 2θ = 53.91°, d = 1.701 Å, I = 24, hkl 3 3 1
- 2θ = 59.19°, d = 1.561 Å, I = 20, hkl 6 2 0

No. 3
Computed PXRD pattern
Compound: LiMnVO4
Radiation: Cu Kα (weighted mean of Kα1 and Kα2)
Structure: a DFT-relaxed cell (PBE+U, the Materials Project)

Atomic structure:
```
data_LiMnVO4
_cell_length_a 5.859
_cell_length_b 8.839
_cell_length_c 6.429
_cell_angle_alpha 90.00
_cell_angle_beta 90.00
_cell_angle_gamma 90.00
_symmetry_space_group_name_H-M 'C m c m'
_symmetry_Int_Tables_number 63
_symmetry_space_group_name_Hall '-C 2c 2'
loop_
_atom_site_label
_atom_site_type_symbol
_atom_site_fract_x
_atom_site_fract_y
_atom_site_fract_z
_atom_site_occupancy
Li1 Li 0.000 0.162 0.250 1
Mn1 Mn 0.000 0.500 0.000 1
V1 V 0.000 0.145 0.750 1
O1 O 0.000 0.256 0.530 1
O2 O 0.239 0.020 0.750 1
```

Main lines, sorted by position (2θ = 10–90°):
- 2θ = 20.09°, d = 4.420 Å, I = 18, hkl 0 2 0
- 2θ = 22.87°, d = 3.889 Å, I = 56, hkl 1 1 1
- 2θ = 24.44°, d = 3.642 Å, I = 37, hkl 0 2 1
- 2θ = 30.52°, d = 2.929 Å, I = 46, hkl 2 0 0
- 2θ = 33.37°, d = 2.685 Å, I = 100, hkl 1 1 2
- 2θ = 34.06°, d = 2.632 Å, I = 55, hkl 1 3 0
- 2θ = 46.72°, d = 1.944 Å, I = 22, hkl 2 2 2
- 2θ = 50.09°, d = 1.821 Å, I = 18, hkl 0 4 2
- 2θ = 56.08°, d = 1.640 Å, I = 17, hkl 3 1 2
- 2θ = 59.80°, d = 1.547 Å, I = 44, hkl 2 4 2

No. 4
Computed PXRD pattern
Compound: Li2MnV3O8
Radiation: Cu Kα (weighted mean of Kα1 and Kα2)
Structure: a DFT-relaxed cell (PBE+U, the Materials Project)

Atomic structure:
```
data_Li2MnV3O8
_cell_length_a 8.502
_cell_length_b 8.502
_cell_length_c 8.502
_cell_angle_alpha 90.00
_cell_angle_beta 90.00
_cell_angle_gamma 90.00
_symmetry_space_group_name_H-M 'P 21 3'
_symmetry_Int_Tables_number 198
_symmetry_space_group_name_Hall 'P 2ac 2ab 3'
loop_
_atom_site_label
_atom_site_type_symbol
_atom_site_fract_x
_atom_site_fract_y
_atom_site_fract_z
_atom_site_occupancy
Li1 Li 0.127 0.127 0.127 1
Li2 Li 0.249 0.751 0.251 1
Mn1 Mn 0.004 0.996 0.496 1
V1 V 0.119 0.621 0.626 1
O1 O 0.101 0.103 0.869 1
O2 O 0.115 0.385 0.615 1
O3 O 0.122 0.853 0.650 1
O4 O 0.136 0.636 0.864 1
```

Main lines, sorted by position (2θ = 10–90°):
- 2θ = 14.73°, d = 6.012 Å, I = 27, hkl 1 1 0
- 2θ = 18.07°, d = 4.909 Å, I = 49, hkl 1 1 1
- 2θ = 20.90°, d = 4.251 Å, I = 20, hkl 2 0 0
- 2θ = 23.40°, d = 3.802 Å, I = 27, hkl 2 0 1
- 2θ = 29.72°, d = 3.006 Å, I = 22, hkl 2 2 0
- 2θ = 35.00°, d = 2.564 Å, I = 100, hkl 3 1 1
- 2θ = 42.53°, d = 2.126 Å, I = 42, hkl 4 0 0
- 2θ = 56.22°, d = 1.636 Å, I = 42, hkl 5 1 1
- 2θ = 61.72°, d = 1.503 Å, I = 54, hkl 4 4 0
- 2θ = 88.29°, d = 1.107 Å, I = 15, hkl 5 5 3

No. 5
Computed PXRD pattern
Compound: Li3MnV4O8
Radiation: Cu Kα (weighted mean of Kα1 and Kα2)
Structure: a DFT-relaxed cell (PBE+U, the Materials Project)

Atomic structure:
```
data_Li3MnV4O8
_cell_length_a 10.433
_cell_length_b 6.053
_cell_length_c 6.110
_cell_angle_alpha 90.00
_cell_angle_beta 125.58
_cell_angle_gamma 90.00
_symmetry_space_group_name_H-M 'C 1 2/m 1'
_symmetry_Int_Tables_number 12
loop_
_symmetry_equiv_pos_as_xyz
'x,y,z'
'-x,-y,-z'
'-x,y,-z'
'x,-y,z'
'x+1/2,y+1/2,z'
'-x+1/2,-y+1/2,-z'
'-x+1/2,y+1/2,-z'
'x+1/2,-y+1/2,z'
loop_
_atom_site_label
_atom_site_type_symbol
_atom_site_fract_x
_atom_site_fract_y
_atom_site_fract_z
_atom_site_occupancy
Li1 Li 0.000 0.000 0.000 1
Li2 Li 0.250 0.250 0.500 1
Mn1 Mn 0.000 0.500 0.500 1
V1 V 0.000 0.000 0.500 1
V2 V 0.000 0.500 0.000 1
V3 V 0.250 0.250 0.000 1
O1 O 0.009 0.253 0.769 1
O2 O 0.242 0.500 0.238 1
O3 O 0.249 0.000 0.221 1
```

Main lines, sorted by position (2θ = 10–90°):
- 2θ = 17.92°, d = 4.950 Å, I = 76, hkl 2 0 -1
- 2θ = 18.00°, d = 4.928 Å, I = 18, hkl 1 1 0
- 2θ = 34.71°, d = 2.585 Å, I = 23, hkl 0 2 1
- 2θ = 36.47°, d = 2.464 Å, I = 19, hkl 2 2 0
- 2θ = 42.02°, d = 2.150 Å, I = 100, hkl 2 2 -2
- 2θ = 42.62°, d = 2.121 Å, I = 48, hkl 4 0 0
- 2θ = 60.63°, d = 1.527 Å, I = 14, hkl 4 0 -4
- 2θ = 61.27°, d = 1.513 Å, I = 40, hkl 0 4 0
- 2θ = 61.51°, d = 1.508 Å, I = 27, hkl 6 2 -2
- 2θ = 77.48°, d = 1.232 Å, I = 12, hkl 4 4 0

No. 6
Computed PXRD pattern
Compound: Li2MnV3O8
Radiation: Cu Kα (weighted mean of Kα1 and Kα2)
Structure: a DFT-relaxed cell (PBE+U, the Materials Project)

Atomic structure:
```
data_Li2MnV3O8
_cell_length_a 12.183
_cell_length_b 4.042
_cell_length_c 6.575
_cell_angle_alpha 90.00
_cell_angle_beta 107.25
_cell_angle_gamma 90.00
_symmetry_space_group_name_H-M 'C 1 m 1'
_symmetry_Int_Tables_number 8
loop_
_symmetry_equiv_pos_as_xyz
'x,y,z'
'x,-y,z'
'x+1/2,y+1/2,z'
'x+1/2,-y+1/2,z'
loop_
_atom_site_label
_atom_site_type_symbol
_atom_site_fract_x
_atom_site_fract_y
_atom_site_fract_z
_atom_site_occupancy
Li1 Li 0.000 0.000 0.000 1
Li2 Li 0.119 0.000 0.712 1
Mn1 Mn 0.350 0.000 0.055 1
V1 V 0.169 0.500 0.065 1
V2 V 0.268 0.500 0.645 1
V3 V 0.448 0.000 0.640 1
O1 O 0.003 0.500 0.987 1
O2 O 0.122 0.500 0.725 1
O3 O 0.178 0.000 0.035 1
O4 O 0.210 0.500 0.349 1
O5 O 0.288 0.000 0.674 1
O6 O 0.325 0.500 0.997 1
O7 O 0.426 0.000 0.376 1
O8 O 0.436 0.500 0.680 1
```

Main lines, sorted by position (2θ = 10–90°):
- 2θ = 14.10°, d = 6.279 Å, I = 82, hkl 0 0 1
- 2θ = 15.23°, d = 5.818 Å, I = 63, hkl 2 0 0
- 2θ = 23.30°, d = 3.818 Å, I = 100, hkl 1 1 0
- 2θ = 28.43°, d = 3.139 Å, I = 78, hkl 0 0 2
- 2θ = 29.78°, d = 3.000 Å, I = 31, hkl 4 0 -1
- 2θ = 31.98°, d = 2.799 Å, I = 36, hkl 3 1 0
- 2θ = 32.11°, d = 2.787 Å, I = 39, hkl 3 1 -1
- 2θ = 43.22°, d = 2.093 Å, I = 45, hkl 0 0 3
- 2θ = 44.63°, d = 2.030 Å, I = 57, hkl 6 0 -1
- 2θ = 44.85°, d = 2.021 Å, I = 64, hkl 0 2 0

No. 7
Computed PXRD pattern
Compound: Li3MnV2O6
Radiation: Cu Kα (weighted mean of Kα1 and Kα2)
Structure: a DFT-relaxed cell (PBE+U, the Materials Project)

Atomic structure:
```
data_Li3MnV2O6
_cell_length_a 13.491
_cell_length_b 2.938
_cell_length_c 5.927
_cell_angle_alpha 90.00
_cell_angle_beta 102.61
_cell_angle_gamma 90.00
_symmetry_space_group_name_H-M 'C 1 2/m 1'
_symmetry_Int_Tables_number 12
loop_
_symmetry_equiv_pos_as_xyz
'x,y,z'
'-x,-y,-z'
'-x,y,-z'
'x,-y,z'
'x+1/2,y+1/2,z'
'-x+1/2,-y+1/2,-z'
'-x+1/2,y+1/2,-z'
'x+1/2,-y+1/2,z'
loop_
_atom_site_label
_atom_site_type_symbol
_atom_site_fract_x
_atom_site_fract_y
_atom_site_fract_z
_atom_site_occupancy
Li1 Li 0.000 0.000 0.000 1
Li2 Li 0.172 0.500 0.341 1
Mn1 Mn 0.000 0.000 0.500 1
V1 V 0.169 0.500 0.834 1
O1 O 0.010 0.500 0.733 1
O2 O 0.168 0.000 0.598 1
O3 O 0.170 0.000 0.072 1
```

Main lines, sorted by position (2θ = 10–90°):
- 2θ = 18.07°, d = 4.909 Å, I = 100, hkl 2 0 -1
- 2θ = 34.16°, d = 2.625 Å, I = 16, hkl 4 0 1
- 2θ = 35.60°, d = 2.522 Å, I = 26, hkl 1 1 1
- 2θ = 36.59°, d = 2.456 Å, I = 7, hkl 4 0 -2
- 2θ = 41.14°, d = 2.194 Å, I = 32, hkl 6 0 0
- 2θ = 43.37°, d = 2.086 Å, I = 54, hkl 1 1 -2
- 2θ = 46.42°, d = 1.956 Å, I = 9, hkl 5 1 -1
- 2θ = 57.17°, d = 1.611 Å, I = 9, hkl 3 1 -3
- 2θ = 61.31°, d = 1.512 Å, I = 32, hkl 5 1 2
- 2θ = 63.31°, d = 1.469 Å, I = 7, hkl 0 2 0

No. 8
Computed PXRD pattern
Compound: LiMnVO4
Radiation: Cu Kα (weighted mean of Kα1 and Kα2)
Structure: a DFT-relaxed cell (PBE+U, the Materials Project)

Atomic structure:
```
data_LiMnVO4
_cell_length_a 5.891
_cell_length_b 5.930
_cell_length_c 8.560
_cell_angle_alpha 90.00
_cell_angle_beta 90.00
_cell_angle_gamma 90.00
_symmetry_space_group_name_H-M 'I m m a'
_symmetry_Int_Tables_number 74
_symmetry_space_group_name_Hall '-I 2b 2'
loop_
_atom_site_label
_atom_site_type_symbol
_atom_site_fract_x
_atom_site_fract_y
_atom_site_fract_z
_atom_site_occupancy
Li1 Li 0.000 0.250 0.121 1
Mn1 Mn 0.250 0.250 0.750 1
V1 V 0.000 0.000 0.500 1
O1 O 0.000 0.029 0.742 1
O2 O 0.227 0.250 0.520 1
```

Main lines, sorted by position (2θ = 10–90°):
- 2θ = 18.23°, d = 4.866 Å, I = 100, hkl 0 1 1
- 2θ = 34.92°, d = 2.570 Å, I = 15, hkl 0 1 3
- 2θ = 35.48°, d = 2.530 Å, I = 13, hkl 1 2 1
- 2θ = 35.61°, d = 2.521 Å, I = 17, hkl 2 1 1
- 2θ = 42.23°, d = 2.140 Å, I = 20, hkl 0 0 4
- 2θ = 43.30°, d = 2.090 Å, I = 37, hkl 2 2 0
- 2θ = 55.91°, d = 1.644 Å, I = 7, hkl 0 1 5
- 2θ = 57.14°, d = 1.612 Å, I = 7, hkl 2 3 1
- 2θ = 62.08°, d = 1.495 Å, I = 22, hkl 2 2 4
- 2θ = 63.13°, d = 1.473 Å, I = 5, hkl 4 0 0